1.
This entry pairs a crystal structure of Er8Tc2Ni with its theoretical powder diffractogram. Radiation: Cu Kα (λ = 1.5418 Å). Structure: DFT lattice parameters and positions (PBE).
Kinematic intensities with the Lorentz-polarization factor, no thermal factor.

Cell and atoms:
```
Er8Tc2Ni
1.0
4.1663 -6.2808 0.0000
4.1663 6.2808 0.0000
-2.0824 0.0000 5.4265
Er Tc Ni
8 2 1
direct
0.0000 0.0000 0.0000
0.0115 0.2751 0.5919
0.1489 0.5631 0.1904
0.2751 0.0115 0.5919
0.4369 0.6958 0.7999
0.5631 0.1489 0.1904
0.6958 0.4369 0.7999
0.7267 0.7267 0.3933
0.0523 0.6694 0.7091
0.6694 0.0523 0.7091
0.3684 0.3684 0.0375
```

Most intense lines, 2θ from 15° to 90°, low angle first:
26.96 deg, d 3.307, I = 37; 31.58 deg, d 2.833, I = 100; 32.78 deg, d 2.732, I = 48; 32.96 deg, d 2.717, I = 47; 33.29 deg, d 2.691, I = 49; 36.06 deg, d 2.491, I = 27; 36.78 deg, d 2.443, I = 38; 39.15 deg, d 2.301, I = 29; 39.49 deg, d 2.282, I = 46; 55.60 deg, d 1.653, I = 23

---

2.
This entry pairs a crystal structure of Er5Ni2Te2 with its theoretical powder diffractogram. Radiation: Cu Kα (λ = 1.5418 Å). Structure: DFT lattice parameters and positions (PBE).
Kinematic intensities with the Lorentz-polarization factor, no thermal factor.

Cell and atoms:
```
Er5Ni2Te2
1.0
1.9874 -7.4357 0.0000
1.9874 7.4357 0.0000
0.0000 0.0000 14.8440
Er Ni Te
10 4 4
direct
0.0402 0.9598 0.6257
0.0402 0.9598 0.8743
0.2596 0.7404 0.1293
0.2596 0.7404 0.3707
0.3935 0.6065 0.7500
0.6065 0.3935 0.2500
0.7404 0.2596 0.6293
0.7404 0.2596 0.8707
0.9598 0.0402 0.1257
0.9598 0.0402 0.3743
0.1866 0.8134 0.7500
0.4138 0.5862 0.2500
0.5862 0.4138 0.7500
0.8134 0.1866 0.2500
0.3841 0.6159 0.5396
0.3841 0.6159 0.9604
0.6159 0.3841 0.0396
0.6159 0.3841 0.4604
```

Most intense lines, 2θ from 15° to 90°, low angle first:
28.79 deg, d 3.101, I = 31; 29.43 deg, d 3.035, I = 80; 33.58 deg, d 2.668, I = 62; 34.13 deg, d 2.627, I = 100; 36.76 deg, d 2.445, I = 23; 37.78 deg, d 2.381, I = 24; 38.32 deg, d 2.349, I = 36; 45.65 deg, d 1.987, I = 30; 49.06 deg, d 1.857, I = 26; 58.22 deg, d 1.585, I = 51

---

3.
This entry pairs a crystal structure of ErTh2Ni6 with its theoretical powder diffractogram. Radiation: Cu Kα (λ = 1.5418 Å). Structure: DFT lattice parameters and positions (PBE).
Kinematic intensities with the Lorentz-polarization factor, no thermal factor.

Cell and atoms:
```
ErTh2Ni6
1.0
7.0758 0.0000 0.0000
-3.5379 6.1278 0.0000
0.0000 0.0000 3.7107
Er Th Ni
1 2 6
direct
0.0000 0.0000 0.0000
0.3333 0.6667 0.0000
0.6667 0.3333 0.0000
0.0000 0.3320 0.5000
0.0000 0.6680 0.5000
0.3320 0.0000 0.5000
0.3320 0.3320 0.5000
0.6680 0.0000 0.5000
0.6680 0.6680 0.5000
```

Most intense lines, 2θ from 15° to 90°, low angle first:
25.17 deg, d 3.538, I = 30; 35.04 deg, d 2.561, I = 100; 44.35 deg, d 2.043, I = 40; 49.10 deg, d 1.855, I = 10; 55.96 deg, d 1.643, I = 7; 57.74 deg, d 1.597, I = 24; 68.30 deg, d 1.373, I = 22; 75.59 deg, d 1.258, I = 21; 81.64 deg, d 1.179, I = 7; 82.64 deg, d 1.168, I = 9

---

4.
This entry pairs a crystal structure of Er3ThNi8 with its theoretical powder diffractogram. Radiation: Cu Kα (λ = 1.5418 Å). Structure: DFT lattice parameters and positions (PBE).
Kinematic intensities with the Lorentz-polarization factor, no thermal factor.

Cell and atoms:
```
Er3ThNi8
1.0
5.0887 0.0000 0.0000
-2.5443 4.4069 0.0000
0.0000 0.0000 8.3076
Er Th Ni
3 1 8
direct
0.0000 0.0000 0.0000
0.0000 0.0000 0.3685
0.3333 0.6667 0.8879
0.3333 0.6667 0.5078
0.3338 0.1669 0.6931
0.5018 0.0036 0.1895
0.5018 0.4982 0.1895
0.6667 0.3333 0.4396
0.6667 0.3333 0.9402
0.8331 0.1669 0.6931
0.8331 0.6662 0.6931
0.9964 0.4982 0.1895
```

Most intense lines, 2θ from 15° to 90°, low angle first:
29.55 deg, d 3.023, I = 19; 35.28 deg, d 2.544, I = 69; 38.39 deg, d 2.345, I = 100; 41.63 deg, d 2.170, I = 99; 42.44 deg, d 2.130, I = 54; 65.38 deg, d 1.427, I = 42; 67.65 deg, d 1.385, I = 27; 71.06 deg, d 1.327, I = 27; 74.60 deg, d 1.272, I = 22; 87.17 deg, d 1.118, I = 20

---

5.
This entry pairs a crystal structure of ErTh2Ni9 with its theoretical powder diffractogram. Radiation: Cu Kα (λ = 1.5418 Å). Structure: DFT lattice parameters and positions (PBE).
Kinematic intensities with the Lorentz-polarization factor, no thermal factor.

Cell and atoms:
```
ErTh2Ni9
1.0
4.9773 0.0000 0.0000
-2.4887 4.3105 0.0000
0.0000 0.0000 16.6668
Er Th Ni
2 4 18
direct
0.3333 0.6667 0.2500
0.6667 0.3333 0.7500
0.3333 0.6667 0.0465
0.3333 0.6667 0.4535
0.6667 0.3333 0.5465
0.6667 0.3333 0.9535
0.0000 0.0000 0.0000
0.0000 0.0000 0.2500
0.0000 0.0000 0.5000
0.0000 0.0000 0.7500
0.1668 0.3336 0.6291
0.1668 0.3336 0.8709
0.1668 0.8332 0.6291
0.1668 0.8332 0.8709
0.3333 0.6667 0.7500
0.3336 0.1668 0.1291
0.3336 0.1668 0.3709
0.6664 0.8332 0.6291
0.6664 0.8332 0.8709
0.6667 0.3333 0.2500
0.8332 0.1668 0.1291
0.8332 0.1668 0.3709
0.8332 0.6664 0.1291
0.8332 0.6664 0.3709
```

Most intense lines, 2θ from 15° to 90°, low angle first:
34.00 deg, d 2.637, I = 90; 36.09 deg, d 2.489, I = 56; 42.30 deg, d 2.137, I = 100; 43.42 deg, d 2.084, I = 20; 45.12 deg, d 2.009, I = 24; 63.56 deg, d 1.464, I = 30; 66.57 deg, d 1.405, I = 15; 67.66 deg, d 1.385, I = 16; 69.16 deg, d 1.358, I = 15; 76.57 deg, d 1.244, I = 19

---

6.
This entry pairs a crystal structure of ErTiNi with its theoretical powder diffractogram. Radiation: Cu Kα (λ = 1.5418 Å). Structure: DFT lattice parameters and positions (PBE).
Kinematic intensities with the Lorentz-polarization factor, no thermal factor.

Cell and atoms:
```
ErTiNi
1.0
4.2986 0.0000 0.0000
0.0000 4.2986 0.0000
0.0000 0.0000 6.2418
Er Ti Ni
2 2 2
direct
0.2500 0.2500 0.1293
0.7500 0.7500 0.8707
0.2500 0.7500 0.5000
0.7500 0.2500 0.5000
0.2500 0.2500 0.6928
0.7500 0.7500 0.3072
```

Most intense lines, 2θ from 15° to 90°, low angle first:
25.15 deg, d 3.540, I = 19; 29.38 deg, d 3.040, I = 64; 32.77 deg, d 2.733, I = 55; 35.55 deg, d 2.525, I = 100; 41.47 deg, d 2.178, I = 16; 42.04 deg, d 2.149, I = 55; 48.62 deg, d 1.873, I = 18; 56.20 deg, d 1.637, I = 53; 60.96 deg, d 1.520, I = 18; 87.61 deg, d 1.114, I = 15

---

7.
This entry pairs a crystal structure of Er5Tl4Ni with its theoretical powder diffractogram. Radiation: Cu Kα (λ = 1.5418 Å). Structure: DFT lattice parameters and positions (PBE).
Kinematic intensities with the Lorentz-polarization factor, no thermal factor.

Cell and atoms:
```
Er5Tl4Ni
1.0
-5.0953 5.0953 2.6566
5.0953 -5.0953 2.6566
5.0953 5.0953 -2.6566
Er Tl Ni
5 4 1
direct
0.0000 0.0000 0.0000
0.3087 0.6624 0.9711
0.3376 0.3087 0.6462
0.6624 0.6913 0.3538
0.6913 0.3376 0.0289
0.0089 0.3243 0.3331
0.3243 0.9911 0.3154
0.6757 0.0089 0.6846
0.9911 0.6757 0.6669
0.5000 0.5000 0.0000
```

Most intense lines, 2θ from 15° to 90°, low angle first:
31.25 deg, d 2.862, I = 100; 33.74 deg, d 2.657, I = 26; 37.44 deg, d 2.402, I = 34; 51.28 deg, d 1.782, I = 29; 53.99 deg, d 1.698, I = 11; 58.80 deg, d 1.570, I = 17; 63.72 deg, d 1.461, I = 21; 65.20 deg, d 1.431, I = 12; 83.09 deg, d 1.162, I = 7; 83.92 deg, d 1.153, I = 10

---

8.
This entry pairs a crystal structure of Er5Tm2Ni4 with its theoretical powder diffractogram. Radiation: Cu Kα (λ = 1.5418 Å). Structure: DFT lattice parameters and positions (PBE).
Kinematic intensities with the Lorentz-polarization factor, no thermal factor.

Cell and atoms:
```
Er5Tm2Ni4
1.0
11.2003 -1.7679 0.0000
11.2003 1.7679 0.0000
-0.7630 0.0000 6.5905
Er Tm Ni
5 2 4
direct
0.0000 0.0000 0.0000
0.3694 0.3694 0.1052
0.3980 0.3980 0.6013
0.6020 0.6020 0.3987
0.6306 0.6306 0.8948
0.2294 0.2294 0.2658
0.7706 0.7706 0.7342
0.1788 0.1788 0.6381
0.4806 0.4806 0.3104
0.5194 0.5194 0.6896
0.8212 0.8212 0.3619
```

Most intense lines, 2θ from 15° to 90°, low angle first:
28.71 deg, d 3.109, I = 43; 29.14 deg, d 3.065, I = 76; 31.75 deg, d 2.818, I = 69; 32.18 deg, d 2.781, I = 36; 32.34 deg, d 2.768, I = 100; 34.25 deg, d 2.618, I = 46; 36.48 deg, d 2.463, I = 47; 38.28 deg, d 2.352, I = 81; 45.58 deg, d 1.990, I = 42; 51.70 deg, d 1.768, I = 39

---

9.
This entry pairs a crystal structure of Er3TmNi8 with its theoretical powder diffractogram. Radiation: Cu Kα (λ = 1.5418 Å). Structure: DFT lattice parameters and positions (PBE).
Kinematic intensities with the Lorentz-polarization factor, no thermal factor.

Cell and atoms:
```
Er3TmNi8
1.0
2.5144 1.4517 8.2365
-2.5144 1.4517 8.2365
0.0000 -2.9034 8.2365
Er Tm Ni
3 1 8
direct
0.0000 0.0000 0.0000
0.1249 0.1249 0.1249
0.5003 0.5003 0.5003
0.6250 0.6250 0.6250
0.0621 0.5627 0.5627
0.0627 0.0627 0.5628
0.0627 0.5628 0.0627
0.3126 0.3126 0.3126
0.5627 0.0621 0.5627
0.5628 0.0627 0.0627
0.5627 0.5627 0.0621
0.8126 0.8126 0.8126
```

Most intense lines, 2θ from 15° to 90°, low angle first:
21.62 deg, d 4.110, I = 15; 35.67 deg, d 2.517, I = 66; 42.10 deg, d 2.146, I = 100; 44.10 deg, d 2.054, I = 11; 63.96 deg, d 1.456, I = 6; 64.12 deg, d 1.452, I = 18; 68.40 deg, d 1.372, I = 8; 68.51 deg, d 1.370, I = 23; 75.47 deg, d 1.260, I = 11; 75.64 deg, d 1.257, I = 11

---

10.
This entry pairs a crystal structure of YEr2Ni9 with its theoretical powder diffractogram. Radiation: Cu Kα (λ = 1.5418 Å). Structure: DFT lattice parameters and positions (PBE).
Kinematic intensities with the Lorentz-polarization factor, no thermal factor.

Cell and atoms:
```
YEr2Ni9
1.0
2.4775 1.4304 8.0771
-2.4775 1.4304 8.0771
0.0000 -2.8607 8.0771
Y Er Ni
1 2 9
direct
0.0000 0.0000 0.0000
0.1393 0.1393 0.1393
0.8607 0.8607 0.8607
0.0811 0.5833 0.5833
0.3332 0.3332 0.3332
0.4167 0.4167 0.9189
0.4167 0.9189 0.4167
0.5000 0.5000 0.5000
0.5833 0.0811 0.5833
0.5833 0.5833 0.0811
0.6668 0.6668 0.6668
0.9189 0.4167 0.4167
```

Most intense lines, 2θ from 15° to 90°, low angle first:
33.25 deg, d 2.694, I = 43; 36.28 deg, d 2.476, I = 82; 42.29 deg, d 2.137, I = 34; 42.82 deg, d 2.112, I = 100; 44.84 deg, d 2.021, I = 28; 46.30 deg, d 1.961, I = 46; 63.32 deg, d 1.469, I = 13; 65.24 deg, d 1.430, I = 20; 69.77 deg, d 1.348, I = 33; 76.97 deg, d 1.239, I = 21

---

11.
This entry pairs a crystal structure of YErNi with its theoretical powder diffractogram. Radiation: Cu Kα (λ = 1.5418 Å). Structure: DFT lattice parameters and positions (PBE).
Kinematic intensities with the Lorentz-polarization factor, no thermal factor.

Cell and atoms:
```
YErNi
1.0
3.5624 0.0000 0.0000
-0.0040 6.6408 0.0000
-1.7805 -2.3965 6.2261
Y Er Ni
2 2 2
direct
0.2173 0.2446 0.4337
0.7827 0.7554 0.5663
0.4772 0.2406 0.9549
0.5228 0.7594 0.0451
0.1101 0.5530 0.2215
0.8899 0.4470 0.7785
```

Most intense lines, 2θ from 15° to 90°, low angle first:
26.02 deg, d 3.425, I = 29; 28.81 deg, d 3.099, I = 53; 31.06 deg, d 2.880, I = 51; 32.64 deg, d 2.744, I = 58; 33.14 deg, d 2.703, I = 100; 36.68 deg, d 2.450, I = 44; 37.15 deg, d 2.420, I = 63; 38.74 deg, d 2.324, I = 54; 42.35 deg, d 2.134, I = 41; 51.29 deg, d 1.781, I = 27

---

12.
This entry pairs a crystal structure of YEr12Ni6 with its theoretical powder diffractogram. Radiation: Cu Kα (λ = 1.5418 Å). Structure: DFT lattice parameters and positions (PBE).
Kinematic intensities with the Lorentz-polarization factor, no thermal factor.

Cell and atoms:
```
YEr12Ni6
1.0
-4.8776 4.8776 4.8776
4.8776 -4.8776 4.8776
4.8776 4.8776 -4.8776
Y Er Ni
1 12 6
direct
0.0000 0.0000 0.0000
0.1267 0.8157 0.3109
0.1843 0.3109 0.4952
0.1843 0.6891 0.8733
0.3109 0.1267 0.8157
0.3109 0.4952 0.1843
0.4952 0.1843 0.3109
0.5048 0.8157 0.6891
0.6891 0.5048 0.8157
0.6891 0.8733 0.1843
0.8157 0.3109 0.1267
0.8157 0.6891 0.5048
0.8733 0.1843 0.6891
0.1238 0.6238 0.5000
0.3762 0.5000 0.8762
0.5000 0.1238 0.6238
0.5000 0.8762 0.3762
0.6238 0.5000 0.1238
0.8762 0.3762 0.5000
```

Most intense lines, 2θ from 15° to 90°, low angle first:
28.94 deg, d 3.085, I = 53; 31.78 deg, d 2.816, I = 31; 34.40 deg, d 2.607, I = 100; 47.53 deg, d 1.913, I = 22; 54.88 deg, d 1.673, I = 35; 56.61 deg, d 1.626, I = 16; 58.31 deg, d 1.583, I = 33; 67.95 deg, d 1.380, I = 15; 84.22 deg, d 1.150, I = 17; 85.66 deg, d 1.134, I = 17